Structure and simulated powder X-ray diffraction pattern of Pa3AsSe6 (DFT lattice parameters and positions (PBE); Cu Kα (λ = 1.5418 Å)).

Most intense lines, 10 to 90 degrees two-theta, sorted by position:
hkl, 2θ (°), d (Å), Rel. int.
1 1 1, 16.34, 5.426, 73.9
2 2 1, 24.15, 3.685, 100.0
2 4 1, 32.66, 2.742, 21.8
2 2 2, 33.00, 2.715, 20.2
3 3 1, 33.55, 2.671, 32.0
0 4 2, 36.12, 2.487, 33.7
3 1 2, 36.24, 2.479, 64.3
4 2 1, 37.51, 2.398, 22.3
3 5 0, 40.17, 2.245, 42.6
0 2 3, 40.95, 2.204, 20.2

Atomic structure:
Lattice parameters (Å, degrees): 10.948 14.238 6.953 90.00 90.00 90.00
Space group Cmc2_1 (No. 36)
Asymmetric unit:
Pa1 0.000 0.101 0.000 (multiplicity 4)
Pa2 0.168 0.389 0.088 (multiplicity 8)
As1 0.000 0.473 0.389 (multiplicity 4)
Se1 0.000 0.257 0.255 (multiplicity 4)
Se2 0.000 0.366 0.773 (multiplicity 4)
Se3 0.168 0.030 0.288 (multiplicity 8)
Se4 0.200 0.211 0.872 (multiplicity 8)


Structure and simulated powder X-ray diffraction pattern of NaBi3Pd2 (DFT lattice parameters and positions (PBE); Cu Kα (λ = 1.5418 Å)).

Most intense lines, 10 to 90 degrees two-theta, sorted by position:
hkl, 2θ (°), d (Å), Rel. int.
0 1 1, 15.11, 5.865, 67.9
0 2 0, 15.89, 5.577, 51.1
2 0 0, 20.82, 4.267, 25.2
0 2 2, 30.48, 2.932, 53.4
0 4 0, 32.10, 2.789, 34.8
3 0 1, 34.09, 2.630, 19.3
2 3 1, 34.54, 2.597, 47.2
2 2 2, 37.20, 2.417, 100.0
3 2 1, 37.82, 2.379, 22.5
2 4 0, 38.57, 2.334, 31.1

Atomic structure:
Lattice parameters (Å, degrees): 8.534 11.154 6.895 90.00 90.00 90.00
Space group Imma (No. 74)
Asymmetric unit:
Na1 0.000 0.250 0.181 (multiplicity 4)
Bi1 0.212 0.000 0.500 (multiplicity 8)
Bi2 0.250 0.250 0.750 (multiplicity 4)
Pd1 0.000 0.062 0.814 (multiplicity 8)


Structure and simulated powder X-ray diffraction pattern of K2TlZnGa (DFT lattice parameters and positions (PBE); Cu Kα (λ = 1.5418 Å)).

Most intense lines, 10 to 90 degrees two-theta, sorted by position:
hkl, 2θ (°), d (Å), Rel. int.
1 0 0, 13.22, 6.698, 100.0
1 1 0, 18.73, 4.737, 76.7
1 1 1, 25.46, 3.499, 87.7
2 0 0, 26.62, 3.349, 91.3
2 1 0, 29.83, 2.996, 29.9
0 0 2, 34.56, 2.595, 25.8
2 2 0, 37.99, 2.368, 35.2
2 0 2, 44.15, 2.052, 46.4
3 1 1, 46.29, 1.961, 52.2
2 2 2, 52.29, 1.749, 28.4

Atomic structure:
Lattice parameters (Å, degrees): 6.698 6.698 5.191 90.00 90.00 90.00
Space group P4/mmm (No. 123)
Asymmetric unit:
K1 0.000 0.500 0.000 (multiplicity 2)
Tl1 0.000 0.000 0.500 (multiplicity 1)
Zn1 0.500 0.500 0.500 (multiplicity 1)
Ga1 0.000 0.000 0.000 (multiplicity 1)